This entry pairs a crystal structure of Mg14CoNi with its simulated XRD peak list. Radiation: Cu Kα. Structure: the PBE geometry in the Materials Project.

Top 10 peaks for 5° ≤ 2θ ≤ 70°, in order of falling intensity:
2theta  Rel. int.  h k l
38.56  100  2 0 2
33.57  26  2 0 0
37.37  24  0 0 4
16.60  18  1 0 0
68.20  17  2 0 6
60.02  17  2 2 0
51.10  15  2 0 4
24.91  8  1 0 2
48.94  5  2 1 2
34.55  4  1 1 2

Cell and atoms:
```
16
Lattice="6.1656 0.0000 0.0000 -3.0828 5.3395 0.0000 0.0000 0.0000 9.6249" Properties=species:S:1:pos:R:3 pbc="T T T"
Mg 0.0000 0.0000 2.4012
Mg 0.0000 0.0000 7.2238
Mg -1.4508 2.7221 2.4137
Mg -1.4508 2.7221 7.2113
Mg 1.5426 0.8906 0.0000
Mg 1.5440 0.8915 4.8125
Mg 1.4508 2.7221 2.4137
Mg 1.4508 2.7221 7.2113
Mg 0.0000 5.2349 2.4137
Mg 0.0000 5.2349 7.2113
Mg 4.6229 0.8906 0.0000
Mg 4.6215 0.8915 4.8125
Mg 3.0828 3.5583 0.0000
Mg 3.0828 3.5566 4.8125
Co 0.0000 3.5597 4.8125
Ni 0.0000 3.5597 0.0000
```

---

This entry pairs a crystal structure of PdAu3 with its simulated XRD peak list. Radiation: Cu Kα. Structure: the PBE geometry in the Materials Project.

Top 10 peaks for 5° ≤ 2θ ≤ 70°, in order of falling intensity:
2theta  Rel. int.  h k l
40.63  100  2 0 1
37.30  28  0 0 2
35.90  23  2 0 0
69.52  21  2 0 3
64.52  17  2 2 0
52.73  16  2 0 2
25.66  6  1 0 1
30.96  2  1 1 0
17.73  1  1 0 0
51.94  1  2 1 1

Cell and atoms:
```
8
Lattice="5.7774 0.0000 0.0000 -2.8887 5.0033 0.0000 0.0000 0.0000 4.8214" Properties=species:S:1:pos:R:3 pbc="T T T"
Pd 0.0000 3.3356 1.2054
Pd 2.8887 1.6678 3.6161
Au 0.0000 1.6810 3.6161
Au -1.4329 4.1628 3.6161
Au 1.4558 0.8405 1.2054
Au 1.4329 4.1628 3.6161
Au 4.3215 0.8405 1.2054
Au 2.8887 3.3223 1.2054
```